For LiCe2As4, the PBE geometry in Alexandria gives the theoretical XRD peak list in this record (copper Kα).
Intensities are scaled so that the largest is 100.

Largest 10 diffraction maxima, by angle, 10 to 90 degrees two-theta:
17.32 deg, rel. 23.7; 24.13 deg, rel. 21.0; 28.53 deg, rel. 26.4; 32.01 deg, rel. 19.9; 34.72 deg, rel. 25.1; 36.62 deg, rel. 100.0; 42.05 deg, rel. 18.2; 45.90 deg, rel. 34.2; 50.18 deg, rel. 18.1; 78.79 deg, rel. 21.2

Structural model:
```
LiCe2As4
1.0
3.954 0.000 0.000
0.000 3.954 0.000
0.000 0.000 10.237
Li Ce As
1 2 4
direct
0.000 0.000 0.000
0.000 0.500 0.732
0.500 0.000 0.268
0.000 0.000 0.500
0.000 0.500 0.173
0.500 0.000 0.827
0.500 0.500 0.500
```